For In3Co20B6, DFT lattice parameters and positions (GGA-PBE) gives the simulated powder diffractogram in this record (Cu Kα X-rays).

Atomic structure:
a = 7.555 Å, b = 7.555 Å, c = 7.555 Å
α = 60.00°, β = 60.00°, γ = 60.00°
Fractional coordinates of all 29 atoms:
1 In 0.000 0.000 0.000
2 In 0.250 0.250 0.250
3 In 0.750 0.750 0.750
4 Co 0.000 0.000 0.344
5 Co 0.000 0.000 0.656
6 Co 0.000 0.344 0.000
7 Co 0.000 0.344 0.656
8 Co 0.000 0.656 0.000
9 Co 0.000 0.656 0.344
10 Co 0.160 0.613 0.613
11 Co 0.344 0.000 0.000
12 Co 0.344 0.000 0.656
13 Co 0.344 0.656 0.000
14 Co 0.387 0.387 0.387
15 Co 0.387 0.387 0.840
16 Co 0.387 0.840 0.387
17 Co 0.613 0.160 0.613
18 Co 0.613 0.613 0.160
19 Co 0.613 0.613 0.613
20 Co 0.656 0.000 0.000
21 Co 0.656 0.000 0.344
22 Co 0.656 0.344 0.000
23 Co 0.840 0.387 0.387
24 B 0.276 0.276 0.724
25 B 0.276 0.724 0.276
26 B 0.276 0.724 0.724
27 B 0.724 0.276 0.276
28 B 0.724 0.276 0.724
29 B 0.724 0.724 0.276

Top 10 peaks for 10° ≤ 2θ ≤ 90°, by angle:
| 2theta | d [Å] | I_rel |
| --- | --- | --- |
| 23.55 | 3.778 | 9 |
| 37.65 | 2.389 | 32 |
| 41.40 | 2.181 | 50 |
| 44.04 | 2.056 | 100 |
| 48.18 | 1.889 | 29 |
| 50.54 | 1.806 | 15 |
| 73.02 | 1.296 | 9 |
| 75.50 | 1.259 | 31 |
| 77.34 | 1.234 | 12 |
| 89.98 | 1.090 | 16 |


For InCo22B6, DFT lattice parameters and positions (GGA-PBE) gives the simulated powder diffractogram in this record (Cu Kα X-rays).

Atomic structure:
a = 7.438 Å, b = 7.438 Å, c = 7.438 Å
α = 60.00°, β = 60.00°, γ = 60.00°
Fractional coordinates of all 29 atoms:
1 In 0.000 0.000 0.000
2 Co 0.000 0.000 0.346
3 Co 0.000 0.000 0.654
4 Co 0.000 0.346 0.000
5 Co 0.000 0.346 0.654
6 Co 0.000 0.654 0.000
7 Co 0.000 0.654 0.346
8 Co 0.143 0.619 0.619
9 Co 0.250 0.250 0.250
10 Co 0.346 0.000 0.000
11 Co 0.346 0.000 0.654
12 Co 0.346 0.654 0.000
13 Co 0.381 0.381 0.381
14 Co 0.381 0.381 0.857
15 Co 0.381 0.857 0.381
16 Co 0.619 0.143 0.619
17 Co 0.619 0.619 0.143
18 Co 0.619 0.619 0.619
19 Co 0.654 0.000 0.000
20 Co 0.654 0.000 0.346
21 Co 0.654 0.346 0.000
22 Co 0.750 0.750 0.750
23 Co 0.857 0.381 0.381
24 B 0.277 0.277 0.723
25 B 0.277 0.723 0.277
26 B 0.277 0.723 0.723
27 B 0.723 0.277 0.277
28 B 0.723 0.277 0.723
29 B 0.723 0.723 0.277

Top 10 peaks for 10° ≤ 2θ ≤ 90°, by angle:
| 2theta | d [Å] | I_rel |
| --- | --- | --- |
| 28.14 | 3.172 | 7 |
| 29.41 | 3.037 | 6 |
| 38.26 | 2.352 | 12 |
| 42.08 | 2.147 | 32 |
| 44.77 | 2.024 | 100 |
| 48.98 | 1.860 | 24 |
| 51.39 | 1.778 | 16 |
| 52.17 | 1.753 | 13 |
| 76.90 | 1.240 | 22 |
| 78.79 | 1.215 | 14 |


For Sc2CoB2Ir5, DFT lattice parameters and positions (GGA-PBE) gives the simulated powder diffractogram in this record (Cu Kα X-rays).

Atomic structure:
a = 9.369 Å, b = 9.369 Å, c = 3.053 Å
α = 90.00°, β = 90.00°, γ = 90.00°
Fractional coordinates of all 20 atoms:
1 Sc 0.176 0.324 0.000
2 Sc 0.324 0.824 0.000
3 Sc 0.676 0.176 0.000
4 Sc 0.824 0.676 0.000
5 Co 0.000 0.000 0.000
6 Co 0.500 0.500 0.000
7 B 0.126 0.626 0.000
8 B 0.374 0.126 0.000
9 B 0.626 0.874 0.000
10 B 0.874 0.374 0.000
11 Ir 0.000 0.500 0.500
12 Ir 0.071 0.785 0.500
13 Ir 0.215 0.071 0.500
14 Ir 0.285 0.571 0.500
15 Ir 0.429 0.285 0.500
16 Ir 0.500 0.000 0.500
17 Ir 0.571 0.715 0.500
18 Ir 0.715 0.429 0.500
19 Ir 0.785 0.929 0.500
20 Ir 0.929 0.215 0.500

Top 10 peaks for 10° ≤ 2θ ≤ 90°, by angle:
| 2theta | d [Å] | I_rel |
| --- | --- | --- |
| 29.25 | 3.053 | 86 |
| 30.16 | 2.963 | 38 |
| 34.52 | 2.599 | 50 |
| 36.41 | 2.467 | 47 |
| 39.66 | 2.272 | 81 |
| 42.52 | 2.126 | 100 |
| 43.18 | 2.095 | 49 |
| 45.86 | 1.979 | 58 |
| 50.04 | 1.823 | 46 |
| 78.73 | 1.215 | 44 |


For LaCo2B2, DFT lattice parameters and positions (GGA-PBE) gives the simulated powder diffractogram in this record (Cu Kα X-rays).

Atomic structure:
a = 5.720 Å, b = 5.720 Å, c = 5.720 Å
α = 143.30°, β = 143.30°, γ = 52.88°
Fractional coordinates of all 5 atoms:
1 La 0.000 0.000 0.000
2 Co 0.250 0.750 0.500
3 Co 0.750 0.250 0.500
4 B 0.333 0.333 0.000
5 B 0.667 0.667 0.000

Top 10 peaks for 10° ≤ 2θ ≤ 90°, by angle:
| 2theta | d [Å] | I_rel |
| --- | --- | --- |
| 26.23 | 3.398 | 76 |
| 35.04 | 2.561 | 35 |
| 36.25 | 2.478 | 46 |
| 39.52 | 2.280 | 100 |
| 50.70 | 1.801 | 28 |
| 57.96 | 1.591 | 17 |
| 63.12 | 1.473 | 24 |
| 63.91 | 1.457 | 17 |
| 65.87 | 1.418 | 24 |
| 87.81 | 1.112 | 19 |


For La4Co3B6, DFT lattice parameters and positions (GGA-PBE) gives the simulated powder diffractogram in this record (Cu Kα X-rays).

Atomic structure:
a = 5.351 Å, b = 5.351 Å, c = 8.296 Å
α = 108.96°, β = 108.96°, γ = 59.96°
Fractional coordinates of all 13 atoms:
1 La 0.091 0.091 0.273
2 La 0.241 0.241 0.727
3 La 0.759 0.759 0.273
4 La 0.909 0.909 0.727
5 Co 0.385 0.385 0.152
6 Co 0.500 0.500 0.500
7 Co 0.615 0.615 0.848
8 B 0.000 0.332 0.000
9 B 0.000 0.668 0.000
10 B 0.332 0.000 0.000
11 B 0.332 0.668 0.000
12 B 0.668 0.000 0.000
13 B 0.668 0.332 0.000

Top 10 peaks for 10° ≤ 2θ ≤ 90°, by angle:
| 2theta | d [Å] | I_rel |
| --- | --- | --- |
| 23.13 | 3.845 | 34 |
| 27.28 | 3.269 | 8 |
| 33.36 | 2.686 | 29 |
| 33.50 | 2.675 | 100 |
| 36.71 | 2.448 | 24 |
| 41.11 | 2.196 | 63 |
| 48.01 | 1.895 | 10 |
| 59.15 | 1.562 | 9 |
| 59.89 | 1.545 | 29 |
| 70.40 | 1.337 | 11 |


For Lu4CoB13, DFT lattice parameters and positions (GGA-PBE) gives the simulated powder diffractogram in this record (Cu Kα X-rays).

Atomic structure:
a = 7.203 Å, b = 7.203 Å, c = 6.749 Å
α = 90.00°, β = 90.00°, γ = 90.00°
Fractional coordinates of all 36 atoms:
1 Lu 0.182 0.315 0.000
2 Lu 0.185 0.318 0.500
3 Lu 0.315 0.818 0.000
4 Lu 0.318 0.815 0.500
5 Lu 0.682 0.185 0.500
6 Lu 0.685 0.182 0.000
7 Lu 0.815 0.682 0.500
8 Lu 0.818 0.685 0.000
9 Co 0.000 0.000 0.500
10 Co 0.500 0.500 0.000
11 B 0.000 0.000 0.000
12 B 0.039 0.829 0.246
13 B 0.039 0.829 0.754
14 B 0.090 0.590 0.250
15 B 0.090 0.590 0.750
16 B 0.171 0.039 0.246
17 B 0.171 0.039 0.754
18 B 0.329 0.539 0.254
19 B 0.329 0.539 0.746
20 B 0.410 0.090 0.250
21 B 0.410 0.090 0.750
22 B 0.461 0.329 0.254
23 B 0.461 0.329 0.746
24 B 0.500 0.500 0.500
25 B 0.539 0.671 0.254
26 B 0.539 0.671 0.746
27 B 0.590 0.910 0.250
28 B 0.590 0.910 0.750
29 B 0.671 0.461 0.254
30 B 0.671 0.461 0.746
31 B 0.829 0.961 0.246
32 B 0.829 0.961 0.754
33 B 0.910 0.410 0.250
34 B 0.910 0.410 0.750
35 B 0.961 0.171 0.246
36 B 0.961 0.171 0.754

Top 10 peaks for 10° ≤ 2θ ≤ 90°, by angle:
| 2theta | d [Å] | I_rel |
| --- | --- | --- |
| 24.72 | 3.602 | 43 |
| 26.41 | 3.375 | 60 |
| 27.69 | 3.221 | 99 |
| 36.49 | 2.463 | 42 |
| 38.64 | 2.330 | 100 |
| 44.57 | 2.033 | 22 |
| 48.20 | 1.888 | 27 |
| 52.37 | 1.747 | 38 |
| 59.59 | 1.551 | 42 |
| 78.87 | 1.214 | 24 |


For LuCo4B4, DFT lattice parameters and positions (GGA-PBE) gives the simulated powder diffractogram in this record (Cu Kα X-rays).

Atomic structure:
a = 4.978 Å, b = 4.978 Å, c = 6.921 Å
α = 90.00°, β = 90.00°, γ = 90.00°
Fractional coordinates of all 18 atoms:
1 Lu 0.250 0.750 0.250
2 Lu 0.750 0.250 0.750
3 Co 0.003 0.750 0.612
4 Co 0.250 0.503 0.888
5 Co 0.250 0.997 0.888
6 Co 0.497 0.750 0.612
7 Co 0.503 0.250 0.388
8 Co 0.750 0.003 0.112
9 Co 0.750 0.497 0.112
10 Co 0.997 0.250 0.388
11 B 0.075 0.250 0.093
12 B 0.250 0.075 0.593
13 B 0.250 0.425 0.593
14 B 0.425 0.250 0.093
15 B 0.575 0.750 0.907
16 B 0.750 0.575 0.407
17 B 0.750 0.925 0.407
18 B 0.925 0.750 0.907

Top 10 peaks for 10° ≤ 2θ ≤ 90°, by angle:
| 2theta | d [Å] | I_rel |
| --- | --- | --- |
| 21.99 | 4.042 | 29 |
| 25.30 | 3.520 | 39 |
| 36.08 | 2.489 | 19 |
| 36.41 | 2.468 | 37 |
| 38.43 | 2.342 | 28 |
| 42.66 | 2.119 | 100 |
| 43.22 | 2.093 | 60 |
| 44.85 | 2.021 | 19 |
| 69.41 | 1.354 | 22 |
| 77.33 | 1.234 | 21 |


For Lu3Co11B4, DFT lattice parameters and positions (GGA-PBE) gives the simulated powder diffractogram in this record (Cu Kα X-rays).

Atomic structure:
a = 4.989 Å, b = 4.989 Å, c = 9.787 Å
α = 90.00°, β = 90.00°, γ = 120.00°
Fractional coordinates of all 18 atoms:
1 Lu 0.000 0.000 0.000
2 Lu 0.000 0.000 0.341
3 Lu 0.000 0.000 0.659
4 Co 0.000 0.500 0.202
5 Co 0.000 0.500 0.500
6 Co 0.000 0.500 0.798
7 Co 0.333 0.667 0.000
8 Co 0.500 0.000 0.202
9 Co 0.500 0.000 0.500
10 Co 0.500 0.000 0.798
11 Co 0.500 0.500 0.202
12 Co 0.500 0.500 0.500
13 Co 0.500 0.500 0.798
14 Co 0.667 0.333 0.000
15 B 0.333 0.667 0.349
16 B 0.333 0.667 0.651
17 B 0.667 0.333 0.349
18 B 0.667 0.333 0.651

Top 10 peaks for 10° ≤ 2θ ≤ 90°, by angle:
| 2theta | d [Å] | I_rel |
| --- | --- | --- |
| 20.56 | 4.321 | 30 |
| 34.45 | 2.604 | 100 |
| 36.00 | 2.495 | 30 |
| 41.81 | 2.160 | 81 |
| 45.79 | 1.982 | 86 |
| 63.73 | 1.460 | 34 |
| 71.62 | 1.318 | 22 |
| 72.63 | 1.302 | 16 |
| 76.35 | 1.247 | 19 |
| 86.53 | 1.125 | 15 |


For LuCoB4, DFT lattice parameters and positions (GGA-PBE) gives the simulated powder diffractogram in this record (Cu Kα X-rays).

Atomic structure:
a = 5.836 Å, b = 11.292 Å, c = 3.324 Å
α = 90.00°, β = 90.00°, γ = 90.00°
Fractional coordinates of all 24 atoms:
1 Lu 0.128 0.150 0.000
2 Lu 0.372 0.650 0.000
3 Lu 0.628 0.350 0.000
4 Lu 0.872 0.850 0.000
5 Co 0.136 0.410 0.000
6 Co 0.364 0.910 0.000
7 Co 0.636 0.090 0.000
8 Co 0.864 0.590 0.000
9 B 0.024 0.692 0.500
10 B 0.112 0.547 0.500
11 B 0.137 0.968 0.500
12 B 0.216 0.815 0.500
13 B 0.284 0.315 0.500
14 B 0.363 0.468 0.500
15 B 0.388 0.047 0.500
16 B 0.476 0.192 0.500
17 B 0.524 0.808 0.500
18 B 0.612 0.953 0.500
19 B 0.637 0.532 0.500
20 B 0.716 0.685 0.500
21 B 0.784 0.185 0.500
22 B 0.863 0.032 0.500
23 B 0.888 0.453 0.500
24 B 0.976 0.308 0.500

Top 10 peaks for 10° ≤ 2θ ≤ 90°, by angle:
| 2theta | d [Å] | I_rel |
| --- | --- | --- |
| 21.90 | 4.058 | 26 |
| 26.82 | 3.324 | 65 |
| 28.21 | 3.163 | 30 |
| 31.68 | 2.824 | 88 |
| 34.89 | 2.571 | 21 |
| 39.32 | 2.291 | 31 |
| 41.98 | 2.152 | 100 |
| 44.90 | 2.019 | 21 |
| 48.02 | 1.895 | 20 |
| 65.13 | 1.432 | 22 |


For Mg6CoB, DFT lattice parameters and positions (GGA-PBE) gives the simulated powder diffractogram in this record (Cu Kα X-rays).

Atomic structure:
a = 3.179 Å, b = 6.915 Å, c = 6.915 Å
α = 85.46°, β = 90.00°, γ = 90.00°
Fractional coordinates of all 8 atoms:
1 Mg 0.000 0.000 0.000
2 Mg 0.000 0.106 0.444
3 Mg 0.000 0.444 0.106
4 Mg 0.500 0.304 0.753
5 Mg 0.500 0.735 0.735
6 Mg 0.500 0.753 0.304
7 Co 0.000 0.492 0.492
8 B 0.500 0.394 0.394

Top 10 peaks for 10° ≤ 2θ ≤ 90°, by angle:
| 2theta | d [Å] | I_rel |
| --- | --- | --- |
| 12.84 | 6.893 | 80 |
| 17.46 | 5.079 | 24 |
| 29.89 | 2.990 | 13 |
| 30.97 | 2.887 | 16 |
| 35.34 | 2.540 | 33 |
| 38.37 | 2.346 | 15 |
| 38.52 | 2.337 | 100 |
| 39.21 | 2.298 | 15 |
| 42.44 | 2.130 | 18 |
| 65.56 | 1.424 | 14 |


For Mg6CoB, DFT lattice parameters and positions (GGA-PBE) gives the simulated powder diffractogram in this record (Cu Kα X-rays).

Atomic structure:
a = 4.494 Å, b = 5.915 Å, c = 5.915 Å
α = 63.62°, β = 90.00°, γ = 90.00°
Fractional coordinates of all 8 atoms:
1 Mg 0.000 0.000 0.000
2 Mg 0.000 0.484 0.979
3 Mg 0.000 0.497 0.497
4 Mg 0.000 0.979 0.484
5 Mg 0.500 0.169 0.666
6 Mg 0.500 0.666 0.169
7 Co 0.500 0.162 0.162
8 B 0.500 0.634 0.634

Top 10 peaks for 10° ≤ 2θ ≤ 90°, by angle:
| 2theta | d [Å] | I_rel |
| --- | --- | --- |
| 16.73 | 5.298 | 31 |
| 26.00 | 3.427 | 23 |
| 33.84 | 2.649 | 23 |
| 35.73 | 2.513 | 13 |
| 39.48 | 2.282 | 100 |
| 40.13 | 2.247 | 31 |
| 41.15 | 2.194 | 38 |
| 62.98 | 1.476 | 14 |
| 72.48 | 1.304 | 15 |
| 77.36 | 1.234 | 14 |